For NaB6H6, the PBE geometry in the Materials Project gives the computed powder diffraction line list in this record (a wavelength of 1.5418 Å).
Kinematic intensities with the Lorentz-polarization factor, no thermal factor.

Crystal structure
a b c (Å): 6.857 10.591 9.350
angles (deg): 90.00 131.56 90.00
Space group P2_1/c (No. 14)
Asymmetric unit:
Na 0.112 0.190 0.488
B 0.207 0.022 0.779
B 0.258 0.058 0.987
B 0.261 0.603 0.431
B 0.410 0.151 0.926
B 0.412 0.607 0.332
B 0.496 0.549 0.671
H 0.006 0.538 0.876
H 0.084 0.095 0.976
H 0.092 0.676 0.380
H 0.348 0.240 0.373
H 0.354 0.684 0.214
H 0.487 0.581 0.791

Main lines, by angle (2θ = 15–90°):
| 2θ/deg | I (rel.) | h k l |
| --- | --- | --- |
| 15.2 | 43 | 0 1 1 |
| 15.4 | 100 | 1 1 -1 |
| 19.2 | 8 | 1 1 0 |
| 20.8 | 8 | 1 1 -2 |
| 24.2 | 6 | 1 2 0 |
| 25.5 | 9 | 0 0 2 |
| 27.5 | 6 | 2 1 -2 |
| 30.6 | 7 | 0 2 2 |
| 39.5 | 11 | 2 1 -4 |
| 39.6 | 7 | 1 0 2 |
| 44.5 | 5 | 2 4 -1 |
| 44.7 | 6 | 0 5 1 |